# CeYI5
Theoretical powder X-ray diffraction pattern, λ = 1.5418 Å (Cu Kα). Input: a DFT-relaxed cell (PBE, Alexandria).
No peak broadening, texture or thermal motion is included.

Main lines, sorted by position (10° ≤ 2θ ≤ 90°):
10.53 deg, I = 100
26.44 deg, I = 44
27.34 deg, I = 50
28.33 deg, I = 45
28.57 deg, I = 67
29.82 deg, I = 34
31.92 deg, I = 26
36.58 deg, I = 26
38.61 deg, I = 27
42.76 deg, I = 32

Structural model:
```
data_CeYI5
_chemical_formula_sum 'Ce2 Y2 I10'
_space_group_name_H-M_alt 'P 1 21/m 1'
_space_group_IT_number 11
_cell_length_a 9.4981
_cell_length_b 4.2290
_cell_length_c 15.0650
_cell_angle_alpha 90.00
_cell_angle_beta 96.09
_cell_angle_gamma 90.00
loop_
_space_group_symop_operation_xyz
'x,y,z'
'-x,-y,-z'
'-x,y+1/2,-z'
'x,-y+1/2,z'
loop_
_atom_site_label
_atom_site_fract_x
_atom_site_fract_y
_atom_site_fract_z
Ce1 0.0828 0.2500 0.1573
Y1 0.3942 0.7500 0.3520
I1 0.1347 0.2500 0.7817
I2 0.1609 0.2500 0.3766
I3 0.1838 0.7500 0.0154
I4 0.3762 0.7500 0.5696
I5 0.4310 0.2500 0.2006
```